[1]
Calculated powder X-ray diffraction pattern of SiP2Au for copper Kα, from the GGA-PBE geometry in Alexandria.

Structural model:
```
data_SiP2Au
_symmetry_space_group_name_H-M 'R 3 m'
_symmetry_Int_Tables_number 160
_symmetry_space_group_name_Hall 'R 3 -2"'
_cell_length_a 3.4546
_cell_length_b 3.4546
_cell_length_c 18.8833
_cell_angle_alpha 90.00
_cell_angle_beta 90.00
_cell_angle_gamma 120.00
loop_
_atom_site_label
_atom_site_fract_x
_atom_site_fract_y
_atom_site_fract_z
Si1 0.0000 0.0000 0.0000
P1 0.0000 0.0000 0.4831
P2 0.0000 0.0000 0.7444
Au1 0.0000 0.0000 0.2453
```

Top 10 peaks for 2θ from 10° to 80°, by intensity:
35.52°, I = 100, (1 0 4); 14.07°, I = 83, (0 0 3); 30.25°, I = 54, (1 0 1); 31.37°, I = 49, (0 1 2); 49.17°, I = 38, (0 1 8); 38.38°, I = 33, (0 1 5); 53.02°, I = 32, (1 1 0); 28.36°, I = 22, (0 0 6); 55.14°, I = 18, (1 1 3); 65.45°, I = 17, (0 2 4)

[2]
Calculated powder X-ray diffraction pattern of SiP2Au for copper Kα, from the GGA-PBE geometry in Alexandria.

Structural model:
```
data_SiP2Au
_symmetry_space_group_name_H-M 'I -4 2 d'
_symmetry_Int_Tables_number 122
_symmetry_space_group_name_Hall 'I -4 2bw'
_cell_length_a 5.5390
_cell_length_b 5.5390
_cell_length_c 10.4756
_cell_angle_alpha 90.00
_cell_angle_beta 90.00
_cell_angle_gamma 90.00
loop_
_atom_site_label
_atom_site_fract_x
_atom_site_fract_y
_atom_site_fract_z
Si1 0.0000 0.0000 0.0000
P1 0.2266 0.2500 0.1250
Au1 0.0000 0.0000 0.5000
```

Top 10 peaks for 2θ from 10° to 80°, by intensity:
28.46°, I = 100, (1 1 2); 18.12°, I = 66, (1 0 1); 47.80°, I = 35, (2 0 4); 55.30°, I = 31, (3 1 2); 37.30°, I = 28, (2 1 1); 46.36°, I = 27, (2 2 0); 30.26°, I = 24, (1 0 3); 32.32°, I = 18, (2 0 0); 44.86°, I = 14, (2 1 3); 57.82°, I = 14, (1 1 6)

[3]
Calculated powder X-ray diffraction pattern of SnPAu for copper Kα, from the GGA-PBE geometry in Alexandria.

Structural model:
```
data_SnPAu
_symmetry_space_group_name_H-M 'P 3 m 1'
_symmetry_Int_Tables_number 156
_cell_length_a 4.2319
_cell_length_b 4.2319
_cell_length_c 4.2883
_cell_angle_alpha 90.00
_cell_angle_beta 90.00
_cell_angle_gamma 120.00
loop_
_symmetry_equiv_pos_as_xyz
'x,y,z'
'-y,x-y,z'
'-x+y,-x,z'
'-y,-x,z'
'-x+y,y,z'
'x,x-y,z'
loop_
_atom_site_label
_atom_site_fract_x
_atom_site_fract_y
_atom_site_fract_z
Sn1 0.0000 0.0000 0.0000
P1 0.3333 0.6667 0.4975
Au1 0.6667 0.3333 0.5920
```

Top 10 peaks for 2θ from 10° to 80°, by intensity:
32.13°, I = 100, (0 1 1); 42.73°, I = 38, (1 1 0); 24.29°, I = 28, (1 0 0); 54.45°, I = 23, (2 0 1); 71.59°, I = 21, (1 2 1); 61.58°, I = 19, (1 1 2); 49.24°, I = 17, (1 0 2); 20.71°, I = 12, (0 0 1); 42.15°, I = 9, (0 0 2); 70.75°, I = 8, (0 1 3)

[4]
Calculated powder X-ray diffraction pattern of SnP2Au for copper Kα, from the GGA-PBE geometry in Alexandria.

Structural model:
```
data_SnP2Au
_symmetry_space_group_name_H-M 'C 1 2/m 1'
_symmetry_Int_Tables_number 12
_cell_length_a 11.1631
_cell_length_b 3.3175
_cell_length_c 4.9838
_cell_angle_alpha 90.00
_cell_angle_beta 111.35
_cell_angle_gamma 90.00
loop_
_symmetry_equiv_pos_as_xyz
'x,y,z'
'-x,-y,-z'
'-x,y,-z'
'x,-y,z'
'x+1/2,y+1/2,z'
'-x+1/2,-y+1/2,-z'
'-x+1/2,y+1/2,-z'
'x+1/2,-y+1/2,z'
loop_
_atom_site_label
_atom_site_fract_x
_atom_site_fract_y
_atom_site_fract_z
Sn1 0.0000 0.0000 0.0000
P1 0.2340 0.5000 0.6323
Au1 0.0000 0.5000 0.5000
```

Top 10 peaks for 2θ from 10° to 80°, by intensity:
17.06°, I = 100, (2 0 0); 32.46°, I = 92, (1 1 -1); 36.14°, I = 69, (2 0 -2); 34.51°, I = 41, (4 0 0); 37.66°, I = 32, (3 1 -1); 46.84°, I = 30, (3 1 1); 49.34°, I = 30, (5 1 -1); 38.80°, I = 21, (0 0 2); 19.12°, I = 18, (0 0 1); 41.68°, I = 15, (4 0 -2)

[5]
Calculated powder X-ray diffraction pattern of SnPAu for copper Kα, from the GGA-PBE geometry in Alexandria.

Structural model:
```
data_SnPAu
_symmetry_space_group_name_H-M 'P 32'
_symmetry_Int_Tables_number 145
_cell_length_a 5.6662
_cell_length_b 5.6662
_cell_length_c 7.6451
_cell_angle_alpha 90.00
_cell_angle_beta 90.00
_cell_angle_gamma 120.00
loop_
_symmetry_equiv_pos_as_xyz
'x,y,z'
'-y,x-y,z+2/3'
'-x+y,-x,z+1/3'
loop_
_atom_site_label
_atom_site_fract_x
_atom_site_fract_y
_atom_site_fract_z
Sn1 0.1424 0.7474 0.0000
P1 0.0773 0.7974 0.3449
Au1 0.3249 0.2984 0.3245
```

Top 10 peaks for 2θ from 10° to 80°, by intensity:
31.58°, I = 100, (1 1 0); 21.52°, I = 87, (1 0 1); 48.02°, I = 62, (1 1 3); 29.62°, I = 46, (0 1 2); 35.22°, I = 43, (0 0 3); 50.65°, I = 38, (2 1 1); 55.03°, I = 29, (3 -2 2); 38.54°, I = 25, (0 2 1); 33.74°, I = 23, (2 -1 1); 43.85°, I = 17, (2 0 2)

[6]
Calculated powder X-ray diffraction pattern of Sr2PAu3 for copper Kα, from the GGA-PBE geometry in Alexandria.

Structural model:
```
data_Sr2PAu3
_symmetry_space_group_name_H-M 'F m m m'
_symmetry_Int_Tables_number 69
_symmetry_space_group_name_Hall '-F 2 2'
_cell_length_a 8.2015
_cell_length_b 9.1817
_cell_length_c 15.9563
_cell_angle_alpha 90.00
_cell_angle_beta 90.00
_cell_angle_gamma 90.00
loop_
_atom_site_label
_atom_site_fract_x
_atom_site_fract_y
_atom_site_fract_z
Sr1 0.2358 0.0000 0.0000
Sr2 0.2500 0.2500 0.2500
P1 0.0000 0.0000 0.3344
Au1 0.0000 0.0000 0.1751
Au2 0.0000 0.2342 0.4123
```

Top 10 peaks for 2θ from 10° to 80°, by intensity:
31.31°, I = 100, (2 0 4); 39.15°, I = 47, (0 2 6); 60.50°, I = 39, (4 2 6); 21.67°, I = 35, (2 0 0); 45.21°, I = 29, (2 2 6); 39.25°, I = 23, (0 4 0); 44.17°, I = 18, (4 0 0); 31.67°, I = 17, (1 3 1); 51.02°, I = 16, (2 4 4); 22.15°, I = 15, (1 1 3)

[7]
Calculated powder X-ray diffraction pattern of Sr5PAu for copper Kα, from the GGA-PBE geometry in Alexandria.

Structural model:
```
data_Sr5PAu
_symmetry_space_group_name_H-M 'P 1 21/m 1'
_symmetry_Int_Tables_number 11
_cell_length_a 8.2228
_cell_length_b 4.3894
_cell_length_c 16.0964
_cell_angle_alpha 90.00
_cell_angle_beta 92.04
_cell_angle_gamma 90.00
loop_
_symmetry_equiv_pos_as_xyz
'x,y,z'
'-x,-y,-z'
'-x,y+1/2,-z'
'x,-y+1/2,z'
loop_
_atom_site_label
_atom_site_fract_x
_atom_site_fract_y
_atom_site_fract_z
Sr1 0.0926 0.2500 0.2146
Sr2 0.1307 0.2500 0.5932
Sr3 0.2117 0.7500 0.9968
Sr4 0.3633 0.7500 0.4200
Sr5 0.3997 0.2500 0.7995
P1 0.0761 0.2500 0.8833
Au1 0.3926 0.7500 0.6429
```

Top 10 peaks for 2θ from 10° to 80°, by intensity:
12.27°, I = 100, (1 0 1); 28.66°, I = 94, (1 1 3); 25.36°, I = 80, (1 1 -2); 30.16°, I = 78, (2 1 -1); 29.78°, I = 51, (2 1 0); 27.74°, I = 51, (0 0 5); 41.13°, I = 41, (0 2 0); 26.86°, I = 28, (2 0 -3); 22.52°, I = 28, (2 0 1); 30.46°, I = 27, (2 1 1)

[8]
Calculated powder X-ray diffraction pattern of TaPAu for copper Kα, from the GGA-PBE geometry in Alexandria.

Structural model:
```
data_TaPAu
_symmetry_space_group_name_H-M 'I 4 m m'
_symmetry_Int_Tables_number 107
_symmetry_space_group_name_Hall 'I 4 -2'
_cell_length_a 3.1848
_cell_length_b 3.1848
_cell_length_c 10.0164
_cell_angle_alpha 90.00
_cell_angle_beta 90.00
_cell_angle_gamma 90.00
loop_
_atom_site_label
_atom_site_fract_x
_atom_site_fract_y
_atom_site_fract_z
Ta1 0.0000 0.0000 0.0000
P1 0.0000 0.0000 0.6126
Au1 0.0000 0.0000 0.3054
```

Top 10 peaks for 2θ from 10° to 80°, by intensity:
39.09°, I = 100, (1 0 3); 40.04°, I = 52, (1 1 0); 29.43°, I = 49, (1 0 1); 72.10°, I = 34, (2 1 3); 54.83°, I = 19, (1 1 4); 57.91°, I = 18, (2 0 0); 35.86°, I = 16, (0 0 4); 72.40°, I = 14, (1 0 7); 70.18°, I = 13, (1 1 6); 17.71°, I = 11, (0 0 2)

[9]
Calculated powder X-ray diffraction pattern of TePAu for copper Kα, from the GGA-PBE geometry in Alexandria.

Structural model:
```
data_TePAu
_symmetry_space_group_name_H-M 'P 1'
_symmetry_Int_Tables_number 1
_cell_length_a 5.0057
_cell_length_b 5.9173
_cell_length_c 6.2224
_cell_angle_alpha 79.30
_cell_angle_beta 66.57
_cell_angle_gamma 84.03
loop_
_symmetry_equiv_pos_as_xyz
'x,y,z'
loop_
_atom_site_label
_atom_site_fract_x
_atom_site_fract_y
_atom_site_fract_z
Te1 0.0000 0.0000 0.0000
Te2 0.3078 0.4105 0.9297
P1 0.2861 0.3360 0.3436
P2 0.6014 0.0488 0.3870
Au1 0.4484 0.6895 0.3633
Au2 0.8141 0.1887 0.6313
```

Top 10 peaks for 2θ from 10° to 80°, by intensity:
30.11°, I = 100, (1 0 2); 25.12°, I = 84, (1 -1 0); 29.47°, I = 73, (1 0 -1); 24.30°, I = 68, (1 1 0); 26.86°, I = 63, (1 -1 1); 32.38°, I = 63, (0 2 1); 20.14°, I = 58, (0 1 1); 22.92°, I = 57, (1 1 1); 36.05°, I = 45, (1 2 0); 23.66°, I = 37, (0 1 -1)

[10]
Calculated powder X-ray diffraction pattern of TlPAu for copper Kα, from the GGA-PBE geometry in Alexandria.

Structural model:
```
data_TlPAu
_symmetry_space_group_name_H-M 'A m m 2'
_symmetry_Int_Tables_number 38
_cell_length_a 4.5041
_cell_length_b 5.5828
_cell_length_c 6.1936
_cell_angle_alpha 90.00
_cell_angle_beta 90.00
_cell_angle_gamma 90.00
loop_
_symmetry_equiv_pos_as_xyz
'x,y,z'
'-x,-y,z'
'-x,y,z'
'x,-y,z'
'x,y+1/2,z+1/2'
'-x,-y+1/2,z+1/2'
'-x,y+1/2,z+1/2'
'x,-y+1/2,z+1/2'
loop_
_atom_site_label
_atom_site_fract_x
_atom_site_fract_y
_atom_site_fract_z
Tl1 0.0000 0.0000 0.0000
P1 0.0000 0.0000 0.4817
Au1 0.5000 0.0000 0.5957
```

Top 10 peaks for 2θ from 10° to 80°, by intensity:
29.27°, I = 100, (1 1 1); 32.06°, I = 30, (0 2 0); 28.83°, I = 26, (0 0 2); 55.45°, I = 17, (1 3 1); 43.66°, I = 17, (0 2 2); 40.04°, I = 16, (2 0 0); 35.17°, I = 16, (1 0 2); 52.19°, I = 15, (2 2 0); 60.72°, I = 13, (2 2 2); 48.32°, I = 13, (1 2 2)

[11]
Calculated powder X-ray diffraction pattern of Y2PAu2 for copper Kα, from the GGA-PBE geometry in Alexandria.

Structural model:
```
data_Y2PAu2
_symmetry_space_group_name_H-M 'P 4/m b m'
_symmetry_Int_Tables_number 127
_symmetry_space_group_name_Hall '-P 4 2ab'
_cell_length_a 7.5972
_cell_length_b 7.5972
_cell_length_c 4.1946
_cell_angle_alpha 90.00
_cell_angle_beta 90.00
_cell_angle_gamma 90.00
loop_
_atom_site_label
_atom_site_fract_x
_atom_site_fract_y
_atom_site_fract_z
Y1 0.1750 0.3250 0.0000
P1 0.0000 0.0000 0.0000
Au1 0.1292 0.6292 0.5000
```

Top 10 peaks for 2θ from 10° to 80°, by intensity:
33.96°, I = 100, (2 1 1); 16.50°, I = 29, (1 1 0); 37.43°, I = 22, (3 1 0); 26.97°, I = 17, (1 1 1); 43.13°, I = 14, (0 0 2); 26.23°, I = 13, (2 1 0); 58.41°, I = 12, (3 1 2); 70.41°, I = 12, (5 2 1); 48.34°, I = 12, (3 2 1); 42.92°, I = 12, (3 2 0)

[12]
Calculated powder X-ray diffraction pattern of ZrP2Au for copper Kα, from the GGA-PBE geometry in Alexandria.

Structural model:
```
data_ZrP2Au
_symmetry_space_group_name_H-M 'P 1 m 1'
_symmetry_Int_Tables_number 6
_cell_length_a 3.6770
_cell_length_b 3.7727
_cell_length_c 5.3160
_cell_angle_alpha 90.00
_cell_angle_beta 98.09
_cell_angle_gamma 90.00
loop_
_symmetry_equiv_pos_as_xyz
'x,y,z'
'x,-y,z'
loop_
_atom_site_label
_atom_site_fract_x
_atom_site_fract_y
_atom_site_fract_z
Zr1 0.0000 0.0000 0.0000
P1 0.4634 0.5000 0.9073
P2 0.8260 0.0000 0.4619
Au1 0.3271 0.5000 0.4262
```

Top 10 peaks for 2θ from 10° to 80°, by intensity:
34.23°, I = 100, (1 1 0); 29.12°, I = 78, (0 1 1); 34.07°, I = 54, (0 0 2); 46.36°, I = 49, (1 1 -2); 27.77°, I = 46, (1 0 -1); 16.85°, I = 37, (0 0 1); 39.97°, I = 36, (1 1 1); 24.45°, I = 29, (1 0 0); 48.24°, I = 24, (0 2 0); 60.39°, I = 24, (0 2 2)